(1)
Simulated powder X-ray diffraction pattern of Ca2VZnN4 for CuKα, from the PBE geometry in Alexandria.
Intensities are scaled so that the largest is 100.

Most intense lines, 2θ from 10° to 80°, low angle first:
index	two_theta	d [Å]	I_rel
0 1 1	22.05	4.030	15.1
0 2 0	31.19	2.867	26.3
0 0 2	31.58	2.833	38.8
2 1 1	34.20	2.622	100.0
2 2 1	44.06	2.055	10.6
0 2 2	44.98	2.015	30.6
4 0 0	53.07	1.726	11.9
2 3 1	57.46	1.604	22.5
2 1 3	57.94	1.592	20.2
4 2 2	72.05	1.311	13.1

Structure:
abc: 6.903 5.734 5.666
angles: 90.00 90.00 90.00
Space group Pmn2_1 (No. 31)
Symmetry-distinct sites (fractional):
Ca: 0.247 0.219 0.000 (multiplicity 4)
V: 0.000 0.215 0.493 (multiplicity 2)
Zn: 0.000 0.761 0.994 (multiplicity 2)
N: 0.000 0.012 0.253 (multiplicity 2)
N: 0.000 0.026 0.743 (multiplicity 2)
N: 0.231 0.377 0.484 (multiplicity 4)

***

(2)
Simulated powder X-ray diffraction pattern of Ca3W2N4 for CuKα, from the PBE geometry in Alexandria.
Intensities are scaled so that the largest is 100.

Most intense lines, 2θ from 10° to 80°, low angle first:
index	two_theta	d [Å]	I_rel
1 0 1	17.56	5.049	100.0
0 0 2	19.02	4.665	73.0
1 1 1	19.67	4.514	66.3
1 0 3	32.42	2.762	44.1
1 1 3	33.65	2.663	37.8
2 2 0	34.79	2.579	35.3
2 2 2	39.98	2.255	67.1
0 4 2	40.73	2.215	35.7
3 2 1	50.00	1.824	35.9
3 2 3	57.76	1.596	30.1

Structure:
abc: 6.004 10.069 9.331
angles: 90.00 90.00 90.00
Space group Pnna (No. 52)
Symmetry-distinct sites (fractional):
Ca: 0.113 0.157 0.076 (multiplicity 8)
Ca: 0.250 0.000 0.393 (multiplicity 4)
W: 0.074 0.250 0.750 (multiplicity 4)
W: 0.250 0.000 0.727 (multiplicity 4)
N: 0.007 0.569 0.342 (multiplicity 8)
N: 0.241 0.663 0.901 (multiplicity 8)

***

(3)
Simulated powder X-ray diffraction pattern of Ca5WN6 for CuKα, from the PBE geometry in Alexandria.
Intensities are scaled so that the largest is 100.

Most intense lines, 2θ from 10° to 80°, low angle first:
index	two_theta	d [Å]	I_rel
0 0 1	16.04	5.527	37.4
0 2 0	17.34	5.113	31.6
1 1 0	18.16	4.884	55.3
1 1 -1	20.36	4.362	39.4
1 3 -1	32.17	2.783	100.0
0 0 2	32.40	2.763	29.2
2 0 -2	37.29	2.411	42.7
1 3 1	37.43	2.402	85.1
0 6 0	53.76	1.705	39.2
1 3 -3	54.00	1.698	26.0

Structure:
abc: 5.910 10.225 5.876
angles: 90.00 109.84 90.00
Space group C2/m (No. 12)
Symmetry-distinct sites (fractional):
Ca: 0.000 0.000 0.000 (multiplicity 2)
Ca: 0.000 0.167 0.500 (multiplicity 4)
Ca: 0.000 0.335 0.000 (multiplicity 4)
W: 0.000 0.500 0.500 (multiplicity 2)
N: 0.214 0.500 0.283 (multiplicity 4)
N: 0.219 0.356 0.723 (multiplicity 8)